Structure and calculated PXRD pattern of Sc4HgC2S (a crystal structure in OQMD, relaxed with GGA-PBE; Cu Ka).

Main lines, by intensity (5° ≤ 2θ ≤ 70°):
2θ 6.58, rel. 100.0; 2θ 36.45, rel. 95.0; 2θ 33.14, rel. 51.1; 2θ 30.27, rel. 36.8; 2θ 13.18, rel. 27.1; 2θ 45.64, rel. 24.9; 2θ 31.01, rel. 24.6; 2θ 53.78, rel. 23.5; 2θ 19.82, rel. 16.1; 2θ 63.74, rel. 15.4; 2θ 66.71, rel. 15.4; 2θ 33.34, rel. 14.3

Structure:
a b c (Å): 3.409 3.409 13.439
angles (deg): 90.00 90.00 120.00
Fractional positions:
Sc  0.000  0.000  0.131
Sc  0.000  0.000  0.869
Sc  0.667  0.333  0.312
Sc  0.667  0.333  0.688
Hg  0.000  0.000  0.500
C  0.333  0.667  0.225
C  0.333  0.667  0.775
S  0.667  0.333  0.000